1.
# VAg6F8
Calculated X-ray diffraction stick pattern, Cu Ka. Input: a PBE+U-relaxed structure.
Peak positions follow from Bragg's law for the DFT cell and can differ from measured ones.

Peak list (10 most intense, 10° ≤ 2θ ≤ 90°, sorted by position)
11.88°, d 7.448, rel. 100, (0 0 1)
16.72°, d 5.303, rel. 53, (1 0 0)
24.96°, d 3.567, rel. 30, (0 1 2)
28.43°, d 3.139, rel. 33, (1 0 -2)
30.14°, d 2.965, rel. 62, (1 0 2)
30.77°, d 2.906, rel. 51, (1 2 1)
33.81°, d 2.651, rel. 39, (2 0 0)
39.15°, d 2.301, rel. 91, (-1 2 1)
39.29°, d 2.293, rel. 70, (2 2 0)
41.06°, d 2.198, rel. 31, (1 0 3)

Crystal structure
```
data_VAg6F8
_symmetry_space_group_name_H-M 'P -1'
_symmetry_Int_Tables_number 2
_cell_length_a 5.538
_cell_length_b 6.108
_cell_length_c 7.716
_cell_angle_alpha 75.25
_cell_angle_beta 89.09
_cell_angle_gamma 73.59
loop_
_symmetry_equiv_pos_as_xyz
'x,y,z'
'-x,-y,-z'
loop_
_atom_site_label
_atom_site_type_symbol
_atom_site_fract_x
_atom_site_fract_y
_atom_site_fract_z
V1 V 0.000 0.000 0.000
Ag1 Ag 0.180 0.594 0.409
Ag2 Ag 0.189 0.109 0.423
Ag3 Ag 0.242 0.475 0.800
F1 F 0.108 0.229 0.099
F2 F 0.180 0.092 0.783
F3 F 0.303 0.742 0.111
F4 F 0.453 0.733 0.578
```


2.
# VAg5F8
Calculated X-ray diffraction stick pattern, Cu Ka. Input: a PBE+U-relaxed structure.
Peak positions follow from Bragg's law for the DFT cell and can differ from measured ones.

Peak list (10 most intense, 10° ≤ 2θ ≤ 90°, sorted by position)
28.92°, d 3.087, rel. 100, (1 0 1)
29.69°, d 3.009, rel. 72, (1 -2 0)
29.83°, d 2.995, rel. 76, (1 -2 1)
31.52°, d 2.838, rel. 45, (-2 1 1)
31.87°, d 2.808, rel. 44, (2 0 -1)
35.86°, d 2.504, rel. 46, (2 0 -2)
37.57°, d 2.394, rel. 67, (-1 2 1)
37.95°, d 2.371, rel. 66, (1 -2 2)
39.06°, d 2.306, rel. 39, (1 2 -2)
49.31°, d 1.848, rel. 38, (0 0 3)

Crystal structure
```
data_VAg5F8
_symmetry_space_group_name_H-M 'P 1'
_symmetry_Int_Tables_number 1
_cell_length_a 5.936
_cell_length_b 6.390
_cell_length_c 6.587
_cell_angle_alpha 109.32
_cell_angle_beta 107.26
_cell_angle_gamma 108.91
loop_
_symmetry_equiv_pos_as_xyz
'x,y,z'
loop_
_atom_site_label
_atom_site_type_symbol
_atom_site_fract_x
_atom_site_fract_y
_atom_site_fract_z
V1 V 0.000 0.000 0.000
Ag1 Ag 0.281 0.073 0.625
Ag2 Ag 0.344 0.542 0.627
Ag3 Ag 0.533 0.824 0.264
Ag4 Ag 0.729 0.439 0.260
Ag5 Ag 0.852 0.356 0.705
F1 F 0.178 0.674 0.356
F2 F 0.185 0.786 0.917
F3 F 0.230 0.285 0.958
F4 F 0.371 0.179 0.306
F5 F 0.731 0.131 0.915
F6 F 0.731 0.676 0.965
F7 F 0.812 0.813 0.629
F8 F 0.939 0.127 0.308
```


Number 2 is which compound?
VAg5F8